Starting from a GGA-PBE-relaxed structure, the powder diffractogram of Er4TmSe5 was calculated for Cu Kα (λ = 1.5418 Å).
Kinematic intensities with the Lorentz-polarization factor, no thermal factor.

Crystal structure
Cell lengths 16.4959, 16.4959, 16.4959 Å; angles 14.10, 14.10, 14.10 degrees
Positions (direct):
Er: 0.1002 0.1002 0.1002
Er: 0.2999 0.2999 0.2999
Er: 0.7001 0.7001 0.7001
Er: 0.8998 0.8998 0.8998
Tm: 0.5000 0.5000 0.5000
Se: 0.0000 0.0000 0.0000
Se: 0.1996 0.1996 0.1996
Se: 0.4002 0.4002 0.4002
Se: 0.5998 0.5998 0.5998
Se: 0.8004 0.8004 0.8004

Most intense lines, 2θ from 15° to 90°, sorted by position:
- 2θ = 27.0°, d 3.301, intensity 18
- 2θ = 31.4°, d 2.851, intensity 100
- 2θ = 44.8°, d 2.024, intensity 37
- 2θ = 45.2°, d 2.008, intensity 37
- 2θ = 55.7°, d 1.650, intensity 20
- 2θ = 65.5°, d 1.426, intensity 12
- 2θ = 74.1°, d 1.279, intensity 17
- 2θ = 74.7°, d 1.271, intensity 16
- 2θ = 82.6°, d 1.169, intensity 6
- 2θ = 82.8°, d 1.165, intensity 13